Calculated powder XRD pattern
Compound: Rb2LiTeBr6
Radiation: λ = 1.5418 Å (Cu Kα)
Structure: a DFT-relaxed cell (PBE, Alexandria)
Peak positions follow from Bragg's law for the DFT cell and can differ from measured ones.

Atomic structure:
Cell: 8.235 10.921 8.242 Å, 90.00 90.00 90.00°
Positions (direct):
Rb1 0.250 0.010 0.161
Rb2 0.250 0.490 0.161
Rb3 0.750 0.510 0.839
Rb4 0.750 0.990 0.839
Li1 0.250 0.250 0.775
Li2 0.750 0.750 0.225
Te1 0.250 0.750 0.698
Te2 0.750 0.250 0.302
Br1 0.000 0.250 0.944
Br2 0.000 0.750 0.056
Br3 0.058 0.250 0.417
Br4 0.250 0.502 0.701
Br5 0.250 0.998 0.701
Br6 0.442 0.250 0.417
Br7 0.500 0.250 0.944
Br8 0.500 0.750 0.056
Br9 0.558 0.750 0.583
Br10 0.750 0.002 0.299
Br11 0.750 0.498 0.299
Br12 0.942 0.750 0.583

Top 10 peaks for 2θ = 10–90°, low angle first:
two_theta  I/Imax
13.46  36
23.07  44
24.15  30
27.12  100
29.24  33
30.69  52
32.81  76
41.16  22
45.54  34
55.94  32

***

Calculated powder XRD pattern
Compound: Rb2LiTlBr4
Radiation: λ = 1.5418 Å (Cu Kα)
Structure: a DFT-relaxed cell (PBE, Alexandria)
Peak positions follow from Bragg's law for the DFT cell and can differ from measured ones.

Atomic structure:
Cell: 9.370 9.370 9.352 Å, 119.88 119.88 89.00°
Positions (direct):
Rb1 0.000 0.000 0.000
Rb2 0.000 0.000 0.500
Rb3 0.000 0.500 0.000
Rb4 0.500 0.000 0.500
Li1 0.000 0.500 0.500
Li2 0.500 0.000 0.000
Tl1 0.500 0.500 0.000
Tl2 0.500 0.500 0.500
Br1 0.212 0.296 0.504
Br2 0.251 0.747 0.516
Br3 0.253 0.749 0.984
Br4 0.296 0.212 0.004
Br5 0.704 0.788 0.996
Br6 0.747 0.251 0.016
Br7 0.749 0.253 0.484
Br8 0.788 0.704 0.496

Top 10 peaks for 2θ = 10–90°, low angle first:
two_theta  I/Imax
11.44  18
13.48  14
22.40  14
26.66  100
27.16  38
29.26  15
37.62  20
38.44  76
47.01  16
47.75  15

***

Calculated powder XRD pattern
Compound: RbLi2TlBr6
Radiation: λ = 1.5418 Å (Cu Kα)
Structure: a DFT-relaxed cell (PBE, Alexandria)
Peak positions follow from Bragg's law for the DFT cell and can differ from measured ones.

Atomic structure:
Cell: 7.283 7.291 7.930 Å, 90.08 117.25 119.86°
Positions (direct):
Rb1 0.000 0.000 0.000
Li1 0.555 0.278 0.832
Li2 0.570 0.786 0.357
Tl1 0.939 0.470 0.407
Br1 0.078 0.199 0.605
Br2 0.079 0.478 0.125
Br3 0.406 0.878 0.605
Br4 0.526 0.048 0.125
Br5 0.647 0.600 0.124
Br6 0.727 0.528 0.605

Top 10 peaks for 2θ = 10–90°, low angle first:
two_theta  I/Imax
14.70  74
16.56  94
22.55  71
27.81  100
27.88  37
29.64  93
33.47  39
36.31  79
42.93  34
47.57  30

***

Calculated powder XRD pattern
Compound: RbLiUBr5
Radiation: λ = 1.5418 Å (Cu Kα)
Structure: a DFT-relaxed cell (PBE, Alexandria)
Peak positions follow from Bragg's law for the DFT cell and can differ from measured ones.

Atomic structure:
Cell: 8.079 8.079 10.885 Å, 103.67 103.67 107.10°
Positions (direct):
Rb1 0.150 0.850 0.750
Rb2 0.850 0.150 0.250
Li1 0.191 0.809 0.250
Li2 0.809 0.191 0.750
U1 0.500 0.500 0.000
U2 0.500 0.500 0.500
Br1 0.121 0.256 0.926
Br2 0.187 0.592 0.388
Br3 0.256 0.121 0.426
Br4 0.408 0.813 0.112
Br5 0.418 0.582 0.750
Br6 0.582 0.418 0.250
Br7 0.592 0.187 0.888
Br8 0.744 0.879 0.574
Br9 0.813 0.408 0.612
Br10 0.879 0.744 0.074

Top 10 peaks for 2θ = 10–90°, low angle first:
two_theta  I/Imax
12.14  100
13.63  33
17.92  88
20.16  31
22.46  33
25.49  33
26.01  36
28.90  50
31.23  28
34.77  29